Structure and computed powder XRD pattern of LiMgTe (a crystal structure in Alexandria, relaxed with GGA-PBE; a wavelength of 1.5418 Å).
Peak positions follow from Bragg's law for the DFT cell and can differ from measured ones.

Crystal structure
```
LiMgTe
1.0
4.268 0.000 0.000
0.000 4.268 0.000
0.000 0.000 7.700
Li Mg Te
2 2 2
direct
0.250 0.250 0.166
0.750 0.750 0.834
0.250 0.750 0.500
0.750 0.250 0.500
0.250 0.250 0.794
0.750 0.750 0.206
```

Principal peaks in the range 2θ from 10° to 80°, by angle:
d [Å]	2θ/deg	Rel. int.	h k l
3.850	23.10	13.8	0 0 2
3.733	23.84	100.0	1 0 1
3.018	29.60	23.3	1 1 0
2.859	31.29	13.7	1 0 2
2.810	31.85	13.9	1 1 1
2.375	37.88	40.4	1 1 2
2.200	41.03	12.7	1 0 3
2.134	42.35	19.6	2 0 0
1.853	49.18	27.9	2 1 1
1.274	74.49	10.7	3 1 2